[1]
Diffraction record for Li4SnAu. The XRD peak list is computed, not measured: it uses a GGA-PBE-relaxed structure and Cu Kα X-rays.

Peak list (10 most intense, 2θ = 15–90°, in order of rising 2θ)
22.8°, d = 3.895 Å, I = 100.0
24.7°, d = 3.605 Å, I = 37.8
29.4°, d = 3.036 Å, I = 33.6
35.4°, d = 2.538 Å, I = 31.0
38.9°, d = 2.314 Å, I = 16.0
39.7°, d = 2.272 Å, I = 46.3
42.4°, d = 2.133 Å, I = 19.3
42.8°, d = 2.113 Å, I = 18.3
46.6°, d = 1.948 Å, I = 14.3
49.5°, d = 1.840 Å, I = 16.4

Crystal structure
Cell lengths 3.1053, 4.6285, 7.3792 Å; angles 90.00, 102.26, 90.00 degrees
Atoms (fractional coordinates):
Li 0.0000 0.0000 0.0000
Li 0.1117 0.5000 0.2254
Li 0.3154 0.0000 0.6302
Li 0.7696 0.5000 0.5456
Sn 0.4382 0.5000 0.8804
Au 0.6627 0.0000 0.3263



[2]
Diffraction record for Cs11K. The XRD peak list is computed, not measured: it uses a GGA-PBE-relaxed structure and Cu Kα X-rays.

Peak list (10 most intense, 2θ = 15–90°, in order of rising 2θ)
20.0°, d = 4.450 Å, I = 18.3
20.5°, d = 4.341 Å, I = 100.0
20.8°, d = 4.267 Å, I = 42.5
23.2°, d = 3.829 Å, I = 17.3
29.4°, d = 3.043 Å, I = 18.0
35.8°, d = 2.506 Å, I = 23.6
36.0°, d = 2.492 Å, I = 20.5
40.5°, d = 2.225 Å, I = 33.3
50.7°, d = 1.801 Å, I = 17.3
67.6°, d = 1.386 Å, I = 15.5

Crystal structure
Cell lengths 17.3626, 17.3626, 5.1820 Å; angles 90.00, 90.00, 120.00 degrees
Atoms (fractional coordinates):
Cs 0.0000 0.5000 0.0000
Cs 0.1674 0.3349 0.5000
Cs 0.1674 0.8326 0.5000
Cs 0.3333 0.6667 0.0000
Cs 0.3349 0.1674 0.5000
Cs 0.5000 0.0000 0.0000
Cs 0.5000 0.5000 0.0000
Cs 0.6651 0.8326 0.5000
Cs 0.6667 0.3333 0.0000
Cs 0.8326 0.1674 0.5000
Cs 0.8326 0.6651 0.5000
K 0.0000 0.0000 0.0000



[3]
Diffraction record for KTmSe2. The XRD peak list is computed, not measured: it uses a GGA-PBE-relaxed structure and Cu Kα X-rays.

Peak list (10 most intense, 2θ = 15–90°, in order of rising 2θ)
26.0°, d = 3.430 Å, I = 51.8
31.4°, d = 2.848 Å, I = 100.0
36.7°, d = 2.447 Å, I = 30.2
39.7°, d = 2.268 Å, I = 15.8
43.7°, d = 2.071 Å, I = 43.4
45.3°, d = 2.002 Å, I = 18.5
46.3°, d = 1.961 Å, I = 27.2
54.8°, d = 1.675 Å, I = 20.2
65.7°, d = 1.420 Å, I = 12.8
72.6°, d = 1.302 Å, I = 18.8

Crystal structure
Cell lengths 4.1428, 4.1428, 23.4187 Å; angles 90.00, 90.00, 120.00 degrees
Atoms (fractional coordinates):
K 0.0000 0.0000 0.0000
K 0.3333 0.6667 0.6667
K 0.6667 0.3333 0.3333
Tm 0.0000 0.0000 0.1691
Tm 0.3333 0.6667 0.8358
Tm 0.6667 0.3333 0.5025
Se 0.0000 0.0000 0.5694
Se 0.0000 0.0000 0.7686
Se 0.3333 0.6667 0.2361
Se 0.3333 0.6667 0.4353
Se 0.6667 0.3333 0.1019
Se 0.6667 0.3333 0.9028



[4]
Diffraction record for NaPuAuBr6. The XRD peak list is computed, not measured: it uses a GGA-PBE-relaxed structure and Cu Kα X-rays.

Peak list (10 most intense, 2θ = 15–90°, in order of rising 2θ)
15.9°, d = 5.591 Å, I = 65.8
20.0°, d = 4.449 Å, I = 100.0
28.5°, d = 3.129 Å, I = 73.7
32.0°, d = 2.796 Å, I = 31.7
37.8°, d = 2.382 Å, I = 93.1
40.9°, d = 2.207 Å, I = 33.1
43.6°, d = 2.075 Å, I = 54.4
59.0°, d = 1.564 Å, I = 24.6
75.3°, d = 1.262 Å, I = 21.7
76.2°, d = 1.249 Å, I = 22.9

Crystal structure
Cell lengths 7.1878, 7.1878, 12.7203 Å; angles 90.00, 90.00, 120.00 degrees
Atoms (fractional coordinates):
Na 0.3333 0.6667 0.2500
Na 0.6667 0.3333 0.7500
Pu 0.3333 0.6667 0.7500
Pu 0.6667 0.3333 0.2500
Au 0.0000 0.0000 0.0000
Au 0.0000 0.0000 0.5000
Br 0.0220 0.3436 0.6233
Br 0.0220 0.6784 0.8767
Br 0.3216 0.3436 0.8767
Br 0.3216 0.9780 0.6233
Br 0.3436 0.0220 0.1233
Br 0.3436 0.3216 0.3767
Br 0.6564 0.6784 0.6233
Br 0.6564 0.9780 0.8767
Br 0.6784 0.0220 0.3767
Br 0.6784 0.6564 0.1233
Br 0.9780 0.3216 0.1233
Br 0.9780 0.6564 0.3767



[5]
Diffraction record for K2PaNbO6. The XRD peak list is computed, not measured: it uses a GGA-PBE-relaxed structure and Cu Kα X-rays.

Peak list (10 most intense, 2θ = 15–90°, in order of rising 2θ)
20.3°, d = 4.381 Å, I = 33.5
21.2°, d = 4.192 Å, I = 62.6
25.3°, d = 3.523 Å, I = 19.6
29.5°, d = 3.029 Å, I = 100.0
30.2°, d = 2.964 Å, I = 48.3
41.2°, d = 2.190 Å, I = 17.0
43.2°, d = 2.096 Å, I = 32.2
51.9°, d = 1.761 Å, I = 19.4
53.1°, d = 1.723 Å, I = 38.6
61.2°, d = 1.514 Å, I = 19.4

Crystal structure
Cell lengths 5.9278, 5.9278, 4.3805 Å; angles 90.00, 90.00, 90.00 degrees
Atoms (fractional coordinates):
K 0.0000 0.5000 0.0000
K 0.5000 0.0000 0.0000
Pa 0.0000 0.0000 0.5222
Nb 0.5000 0.5000 0.4641
O 0.0000 0.0000 0.0236
O 0.2609 0.2609 0.5303
O 0.2609 0.7391 0.5303
O 0.5000 0.5000 0.0454
O 0.7391 0.2609 0.5303
O 0.7391 0.7391 0.5303



[6]
Diffraction record for Pa3Si7Ir2. The XRD peak list is computed, not measured: it uses a GGA-PBE-relaxed structure and Cu Kα X-rays.

Peak list (10 most intense, 2θ = 15–90°, in order of rising 2θ)
21.4°, d = 4.155 Å, I = 50.0
22.8°, d = 3.908 Å, I = 53.0
30.7°, d = 2.915 Å, I = 57.9
30.7°, d = 2.908 Å, I = 51.4
32.5°, d = 2.756 Å, I = 40.5
35.7°, d = 2.516 Å, I = 34.0
36.2°, d = 2.484 Å, I = 100.0
43.3°, d = 2.088 Å, I = 41.3
44.0°, d = 2.058 Å, I = 43.9
49.4°, d = 1.844 Å, I = 34.8

Crystal structure
Cell lengths 4.1771, 4.1160, 12.6108 Å; angles 90.00, 98.72, 90.00 degrees
Atoms (fractional coordinates):
Pa 0.0000 0.0000 0.0000
Pa 0.2988 0.5000 0.6315
Pa 0.7012 0.5000 0.3685
Si 0.1754 0.5000 0.1713
Si 0.2326 0.0000 0.4530
Si 0.4255 0.0000 0.8319
Si 0.5000 0.5000 0.0000
Si 0.5745 0.0000 0.1681
Si 0.7674 0.0000 0.5470
Si 0.8246 0.5000 0.8287
Ir 0.1055 0.0000 0.2615
Ir 0.8945 0.0000 0.7385



[7]
Diffraction record for Bi16O25. The XRD peak list is computed, not measured: it uses a GGA-PBE-relaxed structure and Cu Kα X-rays.

Peak list (10 most intense, 2θ = 15–90°, in order of rising 2θ)
27.6°, d = 3.228 Å, I = 100.0
31.8°, d = 2.815 Å, I = 13.6
32.1°, d = 2.786 Å, I = 27.5
45.8°, d = 1.980 Å, I = 29.4
46.1°, d = 1.970 Å, I = 14.7
54.1°, d = 1.694 Å, I = 15.1
54.6°, d = 1.681 Å, I = 30.9
57.1°, d = 1.614 Å, I = 12.0
73.8°, d = 1.285 Å, I = 12.1
85.2°, d = 1.139 Å, I = 9.0

Crystal structure
Cell lengths 9.6842, 9.6842, 9.6842 Å; angles 109.76, 109.76, 108.90 degrees
Atoms (fractional coordinates):
Bi 0.0016 0.7617 0.4991
Bi 0.0172 0.0172 0.2616
Bi 0.2383 0.7374 0.2398
Bi 0.2444 0.9828 0.0000
Bi 0.2516 0.2516 0.7484
Bi 0.2626 0.5025 0.5009
Bi 0.4967 0.7484 0.0000
Bi 0.4975 0.9984 0.7602
Bi 0.5025 0.2626 0.5009
Bi 0.5033 0.5033 0.2516
Bi 0.7374 0.2383 0.2398
Bi 0.7484 0.4967 0.0000
Bi 0.7556 0.7556 0.7384
Bi 0.7617 0.0016 0.4991
Bi 0.9828 0.2444 0.0000
Bi 0.9984 0.4975 0.7602
O 0.0000 0.0000 0.0000
O 0.0000 0.2918 0.2918
O 0.0000 0.7082 0.7082
O 0.0432 0.0432 0.5103
O 0.0455 0.2522 0.8000
O 0.2017 0.5000 0.7017
O 0.2112 0.7045 0.0000
O 0.2454 0.4522 0.2000
O 0.2522 0.0455 0.8000
O 0.2918 0.0000 0.2918
O 0.2955 0.2955 0.5068
O 0.4522 0.2454 0.2000
O 0.4672 0.9568 0.0000
O 0.5000 0.2017 0.7017
O 0.5000 0.7983 0.2983
O 0.5328 0.5328 0.4897
O 0.5478 0.7478 0.7933
O 0.7045 0.2112 0.0000
O 0.7082 0.0000 0.7082
O 0.7478 0.5478 0.7933
O 0.7546 0.9545 0.2067
O 0.7888 0.7888 0.4932
O 0.7983 0.5000 0.2983
O 0.9545 0.7546 0.2067
O 0.9568 0.4672 0.0000



[8]
Diffraction record for Dy6BiSe4. The XRD peak list is computed, not measured: it uses a GGA-PBE-relaxed structure and Cu Kα X-rays.

Peak list (10 most intense, 2θ = 15–90°, in order of rising 2θ)
28.5°, d = 3.134 Å, I = 27.2
28.9°, d = 3.090 Å, I = 72.3
30.0°, d = 2.975 Å, I = 66.5
31.0°, d = 2.889 Å, I = 100.0
32.4°, d = 2.761 Å, I = 21.7
34.4°, d = 2.604 Å, I = 21.0
41.5°, d = 2.176 Å, I = 27.9
44.2°, d = 2.048 Å, I = 56.5
44.4°, d = 2.039 Å, I = 26.0
53.7°, d = 1.706 Å, I = 26.0

Crystal structure
Cell lengths 6.9507, 6.9507, 20.9470 Å; angles 90.00, 90.00, 145.75 degrees
Atoms (fractional coordinates):
Dy 0.0000 0.0000 0.0000
Dy 0.0000 0.0000 0.5000
Dy 0.1467 0.8533 0.7500
Dy 0.2718 0.7282 0.0931
Dy 0.2718 0.7282 0.4069
Dy 0.4484 0.5516 0.6623
Dy 0.4484 0.5516 0.8377
Dy 0.5516 0.4484 0.1623
Dy 0.5516 0.4484 0.3377
Dy 0.7282 0.2718 0.5931
Dy 0.7282 0.2718 0.9069
Dy 0.8533 0.1467 0.2500
Bi 0.1748 0.8252 0.2500
Bi 0.8252 0.1748 0.7500
Se 0.0854 0.9146 0.6227
Se 0.0854 0.9146 0.8773
Se 0.3576 0.6424 0.5367
Se 0.3576 0.6424 0.9633
Se 0.6424 0.3576 0.0367
Se 0.6424 0.3576 0.4633
Se 0.9146 0.0854 0.1227
Se 0.9146 0.0854 0.3773



[9]
Diffraction record for Tb4ZnPd3. The XRD peak list is computed, not measured: it uses a GGA-PBE-relaxed structure and Cu Kα X-rays.

Peak list (10 most intense, 2θ = 15–90°, in order of rising 2θ)
32.0°, d = 2.800 Å, I = 100.0
33.5°, d = 2.678 Å, I = 28.3
34.7°, d = 2.588 Å, I = 27.4
39.0°, d = 2.310 Å, I = 20.5
39.4°, d = 2.284 Å, I = 32.3
40.0°, d = 2.252 Å, I = 58.3
48.5°, d = 1.878 Å, I = 17.8
52.7°, d = 1.738 Å, I = 15.7
53.5°, d = 1.713 Å, I = 16.1
64.2°, d = 1.451 Å, I = 15.2

Crystal structure
Cell lengths 3.7560, 4.5689, 10.7104 Å; angles 90.00, 90.00, 90.00 degrees
Atoms (fractional coordinates):
Tb 0.0000 0.0000 0.0000
Tb 0.0000 0.5000 0.2703
Tb 0.5000 0.0000 0.4880
Tb 0.5000 0.5000 0.7746
Zn 0.0000 0.0000 0.7104
Pd 0.0000 0.5000 0.5573
Pd 0.5000 0.0000 0.2196
Pd 0.5000 0.5000 0.0482



[10]
Diffraction record for Li5Cd7. The XRD peak list is computed, not measured: it uses a GGA-PBE-relaxed structure and Cu Kα X-rays.

Peak list (10 most intense, 2θ = 15–90°, in order of rising 2θ)
20.9°, d = 4.259 Å, I = 12.7
21.5°, d = 4.126 Å, I = 17.9
24.1°, d = 3.692 Å, I = 10.2
30.1°, d = 2.969 Å, I = 8.6
37.6°, d = 2.391 Å, I = 24.3
37.8°, d = 2.382 Å, I = 100.0
54.4°, d = 1.687 Å, I = 12.7
68.0°, d = 1.379 Å, I = 12.7
68.2°, d = 1.376 Å, I = 13.0
68.2°, d = 1.374 Å, I = 13.5

Crystal structure
Cell lengths 5.5814, 5.5814, 10.1420 Å; angles 107.50, 107.50, 50.49 degrees
Atoms (fractional coordinates):
Li 0.0000 0.0000 0.0000
Li 0.1644 0.1644 0.4882
Li 0.2519 0.2519 0.2453
Li 0.7481 0.7481 0.7547
Li 0.8356 0.8356 0.5118
Cd 0.0872 0.0872 0.7445
Cd 0.3410 0.3410 0.0061
Cd 0.4007 0.4007 0.7375
Cd 0.5000 0.5000 0.5000
Cd 0.5993 0.5993 0.2625
Cd 0.6590 0.6590 0.9939
Cd 0.9128 0.9128 0.2555



[11]
Diffraction record for LaNd2SmHo4. The XRD peak list is computed, not measured: it uses a GGA-PBE-relaxed structure and Cu Kα X-rays.

Peak list (10 most intense, 2θ = 15–90°, in order of rising 2θ)
30.3°, d = 2.946 Å, I = 100.0
30.6°, d = 2.920 Å, I = 32.6
35.3°, d = 2.545 Å, I = 67.1
50.5°, d = 1.806 Å, I = 24.2
50.9°, d = 1.794 Å, I = 23.7
60.1°, d = 1.540 Å, I = 14.4
60.3°, d = 1.536 Å, I = 28.6
60.6°, d = 1.529 Å, I = 14.1
63.1°, d = 1.473 Å, I = 12.4
82.3°, d = 1.172 Å, I = 11.9

Crystal structure
Cell lengths 7.2207, 7.2207, 12.3991 Å; angles 106.88, 106.88, 60.07 degrees
Atoms (fractional coordinates):
La 0.0000 0.5000 0.0000
La 0.5000 0.0000 0.0000
Nd 0.0000 0.0000 0.0000
Nd 0.0000 0.0000 0.5000
Nd 0.0000 0.5000 0.5000
Nd 0.5000 0.0000 0.5000
Sm 0.5000 0.5000 0.0000
Sm 0.5000 0.5000 0.5000
Ho 0.2493 0.7494 0.7490
Ho 0.2498 0.2498 0.7485
Ho 0.2507 0.2507 0.2516
Ho 0.2506 0.7507 0.2510
Ho 0.7494 0.2493 0.7490
Ho 0.7493 0.7493 0.7484
Ho 0.7502 0.7502 0.2515
Ho 0.7507 0.2506 0.2510



[12]
Diffraction record for YNiSb. The XRD peak list is computed, not measured: it uses a GGA-PBE-relaxed structure and Cu Kα X-rays.

Peak list (10 most intense, 2θ = 15–90°, in order of rising 2θ)
21.9°, d = 4.051 Å, I = 11.5
32.7°, d = 2.740 Å, I = 100.0
42.1°, d = 2.148 Å, I = 52.2
44.7°, d = 2.025 Å, I = 14.5
47.9°, d = 1.897 Å, I = 8.5
54.3°, d = 1.690 Å, I = 22.8
63.1°, d = 1.473 Å, I = 30.1
71.0°, d = 1.328 Å, I = 20.0
74.8°, d = 1.269 Å, I = 8.6
76.9°, d = 1.240 Å, I = 8.3

Crystal structure
Cell lengths 4.2954, 4.2954, 4.0505 Å; angles 90.00, 90.00, 120.00 degrees
Atoms (fractional coordinates):
Y 0.0000 0.0000 0.0000
Ni 0.6667 0.3333 0.5000
Sb 0.3333 0.6667 0.5000